1.
# BaLi2Se2O6
Computed PXRD pattern, λ = 1.5418 Å (Cu Kα). Input: a crystal structure in Alexandria, relaxed with GGA-PBE.
Kinematic intensities with the Lorentz-polarization factor, no thermal factor.

Cell lengths 5.422, 6.117, 6.456 Å; angles 111.78, 94.74, 113.61 degrees
Space group P-1 (No. 2)
Symmetry-distinct sites (fractional):
1 Ba 0.000 0.000 0.000 x1
2 Li 0.324 0.552 0.878 x2
3 Se 0.299 0.746 0.426 x2
4 O 0.032 0.771 0.294 x2
5 O 0.385 0.560 0.195 x2
6 O 0.432 0.896 0.876 x2

Principal peaks in the range 15 to 90 degrees two-theta, low angle first:
2theta  intensity  index
17.6  367  0 1 0
20.7  820  1 0 -1
22.5  1000  1 -1 1
26.0  630  -1 1 1
28.0  862  0 1 -2
28.2  478  0 1 1
31.3  678  1 1 0
31.9  724  0 2 -1
33.2  407  2 -1 0
44.2  223  1 2 -2
45.8  512  2 -2 2
54.4  254  0 3 -3

***

2.
# Ba2LiTbSnO6
Computed PXRD pattern, λ = 1.5418 Å (Cu Kα). Input: a crystal structure in Alexandria, relaxed with GGA-PBE.
Kinematic intensities with the Lorentz-polarization factor, no thermal factor.

Cell lengths 6.0153, 6.0153, 16.4118 Å; angles 90.00, 90.00, 120.00 degrees
Space group R3m (No. 160, hexagonal axes)
Symmetry-distinct sites (fractional):
1 Ba 0.0000 0.0000 0.0000 x3
2 Ba 0.0000 0.0000 0.4469 x3
3 Li 0.0000 0.0000 0.8384 x3
4 Tb 0.0000 0.0000 0.2130 x3
5 Sn 0.0000 0.0000 0.6945 x3
6 O 0.9995 0.4998 0.9635 x9
7 O 0.0135 0.5067 0.4522 x9

Principal peaks in the range 15 to 90 degrees two-theta, low angle first:
2theta  intensity  index
27.7  829  1 0 4
29.7  1000  1 1 0
32.2  233  0 1 5
41.0  486  0 2 4
44.4  106  2 0 5
44.8  107  1 1 6
51.5  306  2 1 4
52.7  206  3 0 0
59.3  165  1 1 9
61.7  187  2 2 0
68.9  134  1 3 4
85.4  148  4 1 0

***

3.
# Ba2LiTbSnO6
Computed PXRD pattern, λ = 1.5418 Å (Cu Kα). Input: a crystal structure in Alexandria, relaxed with GGA-PBE.
Kinematic intensities with the Lorentz-polarization factor, no thermal factor.

Cell lengths 6.0002, 6.0002, 16.4012 Å; angles 90.00, 90.00, 120.00 degrees
Space group R3m (No. 160, hexagonal axes)
Symmetry-distinct sites (fractional):
1 Ba 0.0000 0.0000 0.0000 x3
2 Ba 0.0000 0.0000 0.4714 x3
3 Li 0.0000 0.0000 0.6332 x3
4 Tb 0.0000 0.0000 0.7827 x3
5 Sn 0.0000 0.0000 0.2636 x3
6 O 0.0043 0.5021 0.0126 x9
7 O 0.1705 0.3410 0.8574 x9

Principal peaks in the range 15 to 90 degrees two-theta, low angle first:
2theta  intensity  index
20.2  191  0 1 2
27.7  806  1 0 4
29.8  1000  1 1 0
32.3  116  0 1 5
41.1  468  0 2 4
44.9  300  1 1 6
51.6  297  2 1 4
52.9  206  3 0 0
59.3  115  1 1 9
61.9  187  2 2 0
69.1  129  1 3 4
85.6  137  4 1 0

***

4.
# BaLiTbO3
Computed PXRD pattern, λ = 1.5418 Å (Cu Kα). Input: a crystal structure in Alexandria, relaxed with GGA-PBE.
Kinematic intensities with the Lorentz-polarization factor, no thermal factor.

Cell lengths 6.0503, 6.0503, 6.2189 Å; angles 90.00, 90.00, 120.00 degrees
Space group P6_3/mmc (No. 194)
Symmetry-distinct sites (fractional):
1 Ba 0.3333 0.6667 0.2500 x2
2 Li 0.3333 0.6667 0.7500 x2
3 Tb 0.0000 0.0000 0.0000 x2
4 O 0.1613 0.3226 0.7500 x6

Principal peaks in the range 15 to 90 degrees two-theta, low angle first:
2theta  intensity  index
16.9  498  1 0 0
22.2  479  1 0 1
29.5  1000  1 1 0
33.5  866  1 0 2
37.2  323  2 0 1
45.3  499  2 0 2
52.4  205  3 0 0
55.0  449  2 1 2
61.3  181  2 2 0
67.8  193  1 1 4
71.7  198  3 1 2
86.9  119  3 2 2

***

5.
# BaLi2Tc2O7
Computed PXRD pattern, λ = 1.5418 Å (Cu Kα). Input: a crystal structure in Alexandria, relaxed with GGA-PBE.
Kinematic intensities with the Lorentz-polarization factor, no thermal factor.

Cell lengths 3.920, 3.920, 18.308 Å; angles 90.00, 90.00, 90.00 degrees
Space group I4/mmm (No. 139)
Symmetry-distinct sites (fractional):
1 Ba 0.000 0.000 0.000 x2
2 Li 0.000 0.500 0.250 x4
3 Tc 0.000 0.000 0.383 x4
4 O 0.000 0.000 0.280 x4
5 O 0.000 0.000 0.500 x2
6 O 0.000 0.500 0.113 x8

Principal peaks in the range 15 to 90 degrees two-theta, low angle first:
2theta  intensity  index
27.0  1000  1 0 3
32.3  465  1 1 0
33.5  618  1 0 5
33.8  169  1 1 2
39.4  226  0 0 8
46.3  361  2 0 0
51.8  191  1 1 8
54.5  277  2 1 3
58.4  261  2 1 5
62.4  214  2 0 8
67.6  106  2 2 0
89.2  105  2 1 13

***

6.
# BaLi2TcO4
Computed PXRD pattern, λ = 1.5418 Å (Cu Kα). Input: a crystal structure in Alexandria, relaxed with GGA-PBE.
Kinematic intensities with the Lorentz-polarization factor, no thermal factor.

Cell lengths 5.346, 5.563, 7.594 Å; angles 90.00, 90.00, 90.00 degrees
Space group I222 (No. 23)
Symmetry-distinct sites (fractional):
1 Ba 0.000 0.000 0.000 x2
2 Li 0.000 0.500 0.242 x4
3 Tc 0.000 0.000 0.500 x2
4 O 0.168 0.207 0.662 x8

Principal peaks in the range 15 to 90 degrees two-theta, low angle first:
2theta  intensity  index
23.1  1000  1 1 0
23.4  322  0 0 2
32.2  135  0 2 0
33.1  878  1 1 2
33.5  154  2 0 0
40.2  262  0 2 2
41.3  223  2 0 2
47.2  195  2 2 0
53.3  167  2 2 2
53.8  177  1 1 4
58.0  185  1 3 2
59.7  253  2 0 4

***

7.
# Ba3LiTe2O6
Computed PXRD pattern, λ = 1.5418 Å (Cu Kα). Input: a crystal structure in Alexandria, relaxed with GGA-PBE.
Kinematic intensities with the Lorentz-polarization factor, no thermal factor.

Cell lengths 5.9244, 5.9244, 7.0372 Å; angles 90.00, 90.00, 120.00 degrees
Space group P-3m1 (No. 164)
Symmetry-distinct sites (fractional):
1 Ba 0.0000 0.0000 0.0000 x1
2 Ba 0.3333 0.6667 0.6396 x2
3 Li 0.0000 0.0000 0.5000 x1
4 Te 0.3333 0.6667 0.1436 x2
5 O 0.1763 0.3525 0.3108 x6

Principal peaks in the range 15 to 90 degrees two-theta, low angle first:
2theta  intensity  index
17.3  119  1 0 0
21.4  216  0 1 1
30.2  994  1 1 0
30.8  1000  0 1 2
43.7  544  2 0 2
53.6  197  3 0 0
54.0  417  1 2 2
55.2  166  1 0 4
62.7  167  2 2 0
64.2  121  0 2 4
71.5  183  3 1 2
72.5  138  2 1 4

***

8.
# BaLi2Ti3O8
Computed PXRD pattern, λ = 1.5418 Å (Cu Kα). Input: a crystal structure in Alexandria, relaxed with GGA-PBE.
Kinematic intensities with the Lorentz-polarization factor, no thermal factor.

Cell lengths 6.0362, 6.0362, 19.0660 Å; angles 90.00, 90.00, 120.00 degrees
Space group R3m (No. 160, hexagonal axes)
Symmetry-distinct sites (fractional):
1 Ba 0.0000 0.0000 0.0000 x3
2 Li 0.0000 0.0000 0.2993 x3
3 Li 0.0000 0.0000 0.8293 x3
4 Ti 0.1710 0.3421 0.1861 x9
5 O 0.0000 0.0000 0.1343 x3
6 O 0.0000 0.0000 0.5769 x3
7 O 0.0255 0.5127 0.1346 x9
8 O 0.1819 0.3638 0.9112 x9

Principal peaks in the range 15 to 90 degrees two-theta, low angle first:
2theta  intensity  index
17.6  583  1 0 1
19.4  1000  0 1 2
25.3  800  1 0 4
28.1  256  0 0 6
29.0  293  0 1 5
32.9  728  1 1 3
34.6  524  0 2 1
48.3  592  0 2 7
50.0  169  2 1 4
51.9  179  2 0 8
54.6  173  0 3 3
61.4  268  2 2 0

***

9.
# BaLi3U4O12
Computed PXRD pattern, λ = 1.5418 Å (Cu Kα). Input: a crystal structure in Alexandria, relaxed with GGA-PBE.
Kinematic intensities with the Lorentz-polarization factor, no thermal factor.

Cell lengths 8.274, 8.274, 8.274 Å; angles 90.00, 90.00, 90.00 degrees
Space group Im-3 (No. 204)
Symmetry-distinct sites (fractional):
1 Ba 0.000 0.000 0.000 x2
2 Li 0.000 0.000 0.500 x6
3 U 0.250 0.250 0.250 x8
4 O 0.000 0.180 0.301 x24

Principal peaks in the range 15 to 90 degrees two-theta, low angle first:
2theta  intensity  index
15.1  86  1 1 0
21.5  747  2 0 0
30.6  1000  2 2 0
37.7  172  2 2 2
43.8  245  4 0 0
49.2  362  4 0 2
54.3  489  4 2 2
63.6  148  4 4 0
68.0  157  4 4 2
72.2  198  6 0 2
76.3  102  6 2 2
88.4  255  6 4 2